Record 1
This entry pairs a crystal structure of Er13Al2 with its theoretical powder X-ray diffraction pattern. Radiation: copper Kα. Structure: a crystal structure in Alexandria, relaxed with PBE.
Kinematic intensities with the Lorentz-polarization factor, no thermal factor.

Structural model:
```
data_Er13Al2
_chemical_formula_sum 'Er13 Al2'
_symmetry_space_group_name_H-M 'P 1'
_symmetry_Int_Tables_number 1
_cell_length_a 6.5786
_cell_length_b 8.3724
_cell_length_c 8.9885
_cell_angle_alpha 63.53
_cell_angle_beta 89.23
_cell_angle_gamma 80.01
loop_
_symmetry_equiv_pos_as_xyz
'x,y,z'
loop_
_atom_site_label
_atom_site_fract_x
_atom_site_fract_y
_atom_site_fract_z
_atom_site_occupancy
Er1 0.0000 0.0000 0.0000 1
Er2 0.0334 0.5012 0.7051 1
Er3 0.2336 0.0126 0.5693 1
Er4 0.2528 0.2071 0.1526 1
Er5 0.2783 0.6513 0.9582 1
Er6 0.4451 0.1712 0.8150 1
Er7 0.4732 0.3987 0.3783 1
Er8 0.5268 0.6013 0.6217 1
Er9 0.5549 0.8288 0.1850 1
Er10 0.7217 0.3487 0.0418 1
Er11 0.7472 0.7929 0.8474 1
Er12 0.7664 0.9874 0.4307 1
Er13 0.9666 0.4988 0.2949 1
Al1 0.1615 0.7782 0.3624 1
Al2 0.8385 0.2218 0.6376 1
```

Largest 12 diffraction maxima, sorted by position, 2θ from 5° to 70°:
Position (°2θ)	intensity
28.8	254
30.0	353
30.1	336
31.0	264
31.2	1000
31.6	576
32.1	492
33.1	943
33.4	290
33.7	184
34.8	313
36.2	342


Record 2
This entry pairs a crystal structure of Rb2Ba8CaSb6O2 with its theoretical powder X-ray diffraction pattern. Radiation: copper Kα. Structure: a crystal structure in Alexandria, relaxed with PBE.
Kinematic intensities with the Lorentz-polarization factor, no thermal factor.

Structural model:
```
data_Rb2Ba8CaSb6O2
_chemical_formula_sum 'Rb2 Ba8 Ca1 Sb6 O2'
_symmetry_space_group_name_H-M 'P 1'
_symmetry_Int_Tables_number 1
_cell_length_a 9.6851
_cell_length_b 9.6851
_cell_length_c 10.3904
_cell_angle_alpha 117.38
_cell_angle_beta 117.38
_cell_angle_gamma 80.13
loop_
_symmetry_equiv_pos_as_xyz
'x,y,z'
loop_
_atom_site_label
_atom_site_fract_x
_atom_site_fract_y
_atom_site_fract_z
_atom_site_occupancy
Rb1 0.2370 0.7630 0.0000 1
Rb2 0.7630 0.2370 0.0000 1
Ba1 0.0173 0.3397 0.7563 1
Ba2 0.0335 0.0335 0.3087 1
Ba3 0.2097 0.5206 0.2896 1
Ba4 0.3397 0.0173 0.7563 1
Ba5 0.4428 0.4428 0.7072 1
Ba6 0.5206 0.2097 0.2896 1
Ba7 0.6845 0.6845 0.2505 1
Ba8 0.6850 0.6850 0.6495 1
Ca1 0.9422 0.9422 0.6484 1
Sb1 0.0024 0.5465 0.5266 1
Sb2 0.1261 0.1261 0.0190 1
Sb3 0.4061 0.4061 0.0194 1
Sb4 0.5465 0.0024 0.5266 1
Sb5 0.6380 0.8692 0.0137 1
Sb6 0.8692 0.6380 0.0137 1
O1 0.0533 0.0533 0.5726 1
O2 0.4725 0.4725 0.4912 1
```

Largest 12 diffraction maxima, sorted by position, 2θ from 5° to 70°:
Position (°2θ)	intensity
23.6	457
26.9	1000
27.2	375
28.0	639
28.2	694
29.8	187
31.2	687
32.3	152
36.8	182
43.6	231
44.0	165
53.0	343


Record 3
This entry pairs a crystal structure of Ba4NiAu2 with its theoretical powder X-ray diffraction pattern. Radiation: copper Kα. Structure: a crystal structure in Alexandria, relaxed with PBE.
Kinematic intensities with the Lorentz-polarization factor, no thermal factor.

Structural model:
```
data_Ba4NiAu2
_chemical_formula_sum 'Ba4 Ni1 Au2'
_symmetry_space_group_name_H-M 'P 1'
_symmetry_Int_Tables_number 1
_cell_length_a 10.0519
_cell_length_b 10.0519
_cell_length_c 10.0519
_cell_angle_alpha 147.67
_cell_angle_beta 147.67
_cell_angle_gamma 46.37
loop_
_symmetry_equiv_pos_as_xyz
'x,y,z'
loop_
_atom_site_label
_atom_site_fract_x
_atom_site_fract_y
_atom_site_fract_z
_atom_site_occupancy
Ba1 0.0000 0.5000 0.5000 1
Ba2 0.1864 0.1864 0.0000 1
Ba3 0.5000 0.0000 0.5000 1
Ba4 0.8136 0.8136 0.0000 1
Ni1 0.5000 0.5000 0.0000 1
Au1 0.3629 0.3629 0.0000 1
Au2 0.6371 0.6371 0.0000 1
```

Largest 12 diffraction maxima, sorted by position, 2θ from 5° to 70°:
Position (°2θ)	intensity
16.6	476
22.5	521
24.5	788
29.0	610
29.7	839
32.0	1000
37.7	387
43.7	607
45.9	367
50.2	339
55.2	257
55.6	294